# TmScMo2C3
Calculated powder diffraction line list, Cu Ka. Input: a crystal structure in OQMD, relaxed with PBE.
Lines closer than 0.1° are merged.

Largest 10 diffraction maxima, low angle first, 2θ = 10–90°:
| two_theta | d/Å | I (rel.) | index |
| --- | --- | --- | --- |
| 16.84 | 5.264 | 314 | 2 0 0 |
| 17.02 | 5.211 | 289 | 0 0 1 |
| 31.61 | 2.831 | 170 | 1 1 -1 |
| 32.74 | 2.736 | 422 | 2 0 -2 |
| 34.06 | 2.632 | 435 | 4 0 0 |
| 34.71 | 2.585 | 1000 | 1 1 1 |
| 37.31 | 2.410 | 922 | 3 1 -1 |
| 43.71 | 2.071 | 250 | 2 0 2 |
| 57.72 | 1.597 | 170 | 3 1 -3 |
| 57.93 | 1.592 | 168 | 1 1 -3 |

Lattice parameters (Å, degrees): 11.2004 3.3076 5.5437 90.00 109.96 90.00
Space group Cm (No. 8)
One atom of each set of equivalent atoms:
Tm: 0.0000 0.0000 0.0000 (multiplicity 2)
Sc: 0.2355 0.0000 0.6311 (multiplicity 2)
Mo: 0.2619 0.5000 0.1797 (multiplicity 2)
Mo: 0.4693 0.0000 0.4553 (multiplicity 2)
C: 0.1181 0.5000 0.3284 (multiplicity 2)
C: 0.3437 0.0000 0.0628 (multiplicity 2)
C: 0.3815 0.5000 0.5635 (multiplicity 2)

***

# Sc2Zn3Mo4C3
Calculated powder diffraction line list, Cu Ka. Input: a crystal structure in OQMD, relaxed with PBE.
Lines closer than 0.1° are merged.

Largest 10 diffraction maxima, low angle first, 2θ = 10–90°:
| two_theta | d/Å | I (rel.) | index |
| --- | --- | --- | --- |
| 19.19 | 4.625 | 442 | 1 1 0 |
| 19.65 | 4.517 | 249 | 2 0 0 |
| 33.33 | 2.688 | 353 | 3 1 -1 |
| 38.74 | 2.324 | 981 | 3 1 -4 |
| 38.94 | 2.313 | 1000 | 0 2 3 |
| 39.25 | 2.295 | 870 | 3 1 2 |
| 39.88 | 2.261 | 831 | 0 0 6 |
| 40.36 | 2.235 | 227 | 2 2 1 |
| 41.64 | 2.169 | 256 | 2 2 -3 |
| 70.29 | 1.339 | 271 | 6 2 -3 |

Lattice parameters (Å, degrees): 9.3012 5.3837 13.9680 90.00 103.78 90.00
Space group C2/c (No. 15)
One atom of each set of equivalent atoms:
Sc: 0.0426 0.0807 0.3925 (multiplicity 8)
Zn: 0.0000 0.4300 0.7500 (multiplicity 4)
Zn: 0.2432 0.1554 0.7518 (multiplicity 8)
Mo: 0.1115 0.4068 0.5800 (multiplicity 8)
Mo: 0.2265 0.4213 0.9200 (multiplicity 8)
C: 0.0842 0.2521 0.0002 (multiplicity 8)
C: 0.2500 0.2500 0.5000 (multiplicity 4)

***

# SiMo3C2
Calculated powder diffraction line list, Cu Ka. Input: a crystal structure in OQMD, relaxed with PBE.
Lines closer than 0.1° are merged.

Largest 10 diffraction maxima, low angle first, 2θ = 10–90°:
| two_theta | d/Å | I (rel.) | index |
| --- | --- | --- | --- |
| 10.14 | 8.724 | 207 | 0 0 2 |
| 33.72 | 2.658 | 471 | 1 0 1 |
| 34.91 | 2.570 | 187 | 1 0 2 |
| 39.36 | 2.289 | 1000 | 1 0 4 |
| 41.40 | 2.181 | 195 | 0 0 8 |
| 42.44 | 2.130 | 488 | 1 0 5 |
| 58.71 | 1.573 | 202 | 1 0 9 |
| 59.54 | 1.553 | 334 | 1 1 0 |
| 73.74 | 1.285 | 151 | 2 0 4 |
| 75.11 | 1.265 | 201 | 1 1 8 |

Lattice parameters (Å, degrees): 3.1051 3.1051 17.4483 90.00 90.00 120.00
Space group P6_3/mmc (No. 194)
One atom of each set of equivalent atoms:
Si: 0.0000 0.0000 0.2500 (multiplicity 2)
Mo: 0.0000 0.0000 0.0000 (multiplicity 2)
Mo: 0.3333 0.6667 0.1393 (multiplicity 4)
C: 0.3333 0.6667 0.5741 (multiplicity 4)

***

# Zr2Si3Mo4C3
Calculated powder diffraction line list, Cu Ka. Input: a crystal structure in OQMD, relaxed with PBE.
Lines closer than 0.1° are merged.

Largest 10 diffraction maxima, low angle first, 2θ = 10–90°:
| two_theta | d/Å | I (rel.) | index |
| --- | --- | --- | --- |
| 13.66 | 6.481 | 222 | 0 0 2 |
| 27.53 | 3.240 | 111 | 0 0 4 |
| 33.10 | 2.706 | 229 | 3 1 -1 |
| 33.83 | 2.650 | 282 | 3 1 -2 |
| 39.28 | 2.294 | 1000 | 0 2 3 |
| 41.82 | 2.160 | 182 | 0 0 6 |
| 54.30 | 1.689 | 75 | 3 1 -7 |
| 59.09 | 1.563 | 133 | 3 3 -1 |
| 66.39 | 1.408 | 82 | 6 0 -6 |
| 73.26 | 1.292 | 75 | 6 2 -5 |

Lattice parameters (Å, degrees): 9.3657 5.4189 13.3398 90.00 103.68 90.00
Space group C2/c (No. 15)
One atom of each set of equivalent atoms:
Zr: 0.0453 0.0836 0.3859 (multiplicity 8)
Si: 0.0000 0.4817 0.7500 (multiplicity 4)
Si: 0.2152 0.1286 0.7491 (multiplicity 8)
Mo: 0.1113 0.4123 0.5845 (multiplicity 8)
Mo: 0.2243 0.4169 0.9153 (multiplicity 8)
C: 0.0820 0.2463 0.9999 (multiplicity 8)
C: 0.2500 0.2500 0.5000 (multiplicity 4)

***

# SnMo2C
Calculated powder diffraction line list, Cu Ka. Input: a crystal structure in OQMD, relaxed with PBE.
Lines closer than 0.1° are merged.

Largest 10 diffraction maxima, low angle first, 2θ = 10–90°:
| two_theta | d/Å | I (rel.) | index |
| --- | --- | --- | --- |
| 32.37 | 2.766 | 227 | 0 2 0 |
| 38.16 | 2.358 | 1000 | 1 1 3 |
| 39.96 | 2.256 | 182 | 0 0 6 |
| 52.33 | 1.748 | 147 | 0 2 6 |
| 57.73 | 1.597 | 207 | 2 0 0 |
| 67.76 | 1.383 | 28 | 2 2 0 |
| 71.36 | 1.322 | 316 | 0 4 3 |
| 72.52 | 1.303 | 192 | 2 0 6 |
| 81.66 | 1.179 | 41 | 2 2 6 |
| 86.23 | 1.128 | 23 | 0 0 12 |

Lattice parameters (Å, degrees): 3.1949 5.5301 13.5360 90.00 90.00 90.00
Space group Cmcm (No. 63)
One atom of each set of equivalent atoms:
Sn: 0.0000 0.1686 0.2500 (multiplicity 4)
Mo: 0.0000 0.1665 0.5810 (multiplicity 8)
C: 0.0000 0.5000 0.0000 (multiplicity 4)

***

# Ta2Sn3Mo4C3
Calculated powder diffraction line list, Cu Ka. Input: a crystal structure in OQMD, relaxed with PBE.
Lines closer than 0.1° are merged.

Largest 10 diffraction maxima, low angle first, 2θ = 10–90°:
| two_theta | d/Å | I (rel.) | index |
| --- | --- | --- | --- |
| 32.12 | 2.787 | 346 | 3 1 -1 |
| 37.87 | 2.376 | 1000 | 0 2 3 |
| 37.93 | 2.372 | 499 | 3 1 2 |
| 39.74 | 2.268 | 277 | 0 0 6 |
| 51.94 | 1.760 | 145 | 3 1 -7 |
| 57.25 | 1.609 | 310 | 6 0 -2 |
| 70.78 | 1.331 | 237 | 6 2 1 |
| 70.96 | 1.328 | 160 | 3 1 8 |
| 71.89 | 1.313 | 96 | 3 3 -7 |
| 72.04 | 1.311 | 146 | 6 0 4 |

Lattice parameters (Å, degrees): 9.6587 5.5717 13.9952 90.00 103.49 90.00
Space group C2/c (No. 15)
One atom of each set of equivalent atoms:
Ta: 0.0579 0.0857 0.4156 (multiplicity 8)
Sn: 0.0000 0.4296 0.2500 (multiplicity 4)
Sn: 0.1727 0.0903 0.7490 (multiplicity 8)
Mo: 0.1116 0.4250 0.5807 (multiplicity 8)
Mo: 0.2185 0.4120 0.9195 (multiplicity 8)
C: 0.0811 0.2450 0.0002 (multiplicity 8)
C: 0.2500 0.2500 0.5000 (multiplicity 4)

***

Q: Number 1 is which compound?
A: TmScMo2C3